The following is a calculated X-ray powder pattern of KCePb2S4. It was derived from a PBE-relaxed structure, using copper Kα.
No peak broadening, texture or thermal motion is included.

Largest 12 diffraction maxima, sorted by position, 2θ from 5° to 70°:
hkl, d [Å], I (rel.)
1 0 1, 5.373, 30
1 1 2, 3.469, 75
1 0 3, 3.336, 10
2 0 0, 3.004, 100
2 1 1, 2.621, 11
1 0 5, 2.233, 11
2 2 0, 2.124, 74
1 1 6, 1.812, 40
2 2 4, 1.735, 26
4 0 0, 1.501, 8
3 1 6, 1.379, 17
2 0 8, 1.345, 11

Cell and atoms:
```
data_KCePb2S4
_symmetry_space_group_name_H-M 'I -4 m 2'
_symmetry_Int_Tables_number 119
_symmetry_space_group_name_Hall 'I -4 -2'
_cell_length_a 6.0039
_cell_length_b 6.0039
_cell_length_c 12.0373
_cell_angle_alpha 90.00
_cell_angle_beta 90.00
_cell_angle_gamma 90.00
loop_
_atom_site_label
_atom_site_type_symbol
_atom_site_fract_x
_atom_site_fract_y
_atom_site_fract_z
_atom_site_occupancy
K1 K 0.0000 0.0000 0.0000 1
Ce1 Ce 0.0000 0.5000 0.7500 1
Pb1 Pb 0.0000 0.0000 0.5000 1
Pb2 Pb 0.0000 0.5000 0.2500 1
S1 S 0.0000 0.0000 0.2562 1
S2 S 0.0000 0.5000 0.5172 1
```